Entry 1:
This entry pairs a crystal structure of Na10B19C with its computed X-ray diffraction stick pattern. Radiation: Cu Ka. Structure: a DFT-relaxed cell (GGA-PBE, Alexandria).
No peak broadening, texture or thermal motion is included.

Largest 6 diffraction maxima, most intense first, 2θ = 10–90°:
2θ/deg, I/Imax
40.8, 100
40.2, 99
40.3, 98
41.7, 69
34.3, 43
62.1, 35

Cell and atoms:
Cell: 8.018 8.018 10.604 Å, 123.05 123.05 37.46°
Sites, in units of the cell vectors:
Na (0.001, 0.001, 0.252)
Na (0.199, 0.202, 0.252)
Na (0.202, 0.197, 0.750)
Na (0.398, 0.401, 0.748)
Na (0.403, 0.396, 0.250)
Na (0.599, 0.602, 0.252)
Na (0.604, 0.597, 0.750)
Na (0.798, 0.801, 0.748)
Na (0.803, 0.798, 0.250)
Na (0.999, 0.999, 0.748)
B (0.024, 0.380, 0.500)
B (0.031, 0.363, 0.000)
B (0.182, 0.818, 0.500)
B (0.229, 0.589, 0.000)
B (0.230, 0.565, 0.501)
B (0.363, 0.034, 0.500)
B (0.381, 0.020, 0.000)
B (0.411, 0.771, 0.000)
B (0.435, 0.770, 0.499)
B (0.562, 0.235, 0.000)
B (0.577, 0.228, 0.500)
B (0.620, 0.976, 0.500)
B (0.637, 0.969, 0.000)
B (0.765, 0.438, 0.000)
B (0.772, 0.423, 0.500)
B (0.839, 0.161, 0.500)
B (0.841, 0.159, 0.000)
B (0.966, 0.637, 0.500)
B (0.980, 0.619, 0.000)
C (0.159, 0.841, 0.000)

***

Entry 2:
This entry pairs a crystal structure of ThSiBOs2 with its computed X-ray diffraction stick pattern. Radiation: Cu Ka. Structure: a DFT-relaxed cell (GGA-PBE, Alexandria).
No peak broadening, texture or thermal motion is included.

Largest 6 diffraction maxima, most intense first, 2θ = 10–90°:
2θ/deg, I/Imax
27.6, 100
35.8, 90
36.5, 87
32.7, 63
43.6, 53
62.1, 43

Cell and atoms:
Cell: 6.775 6.775 6.775 Å, 130.72 130.72 72.25°
Sites, in units of the cell vectors:
Th (0.000, 0.000, 0.000)
Th (0.500, 0.500, 0.000)
Si (0.081, 0.581, 0.500)
Si (0.581, 0.081, 0.500)
B (0.256, 0.256, 0.000)
B (0.756, 0.756, 0.000)
Os (0.103, 0.603, 0.176)
Os (0.427, 0.927, 0.824)
Os (0.603, 0.427, 0.500)
Os (0.927, 0.103, 0.500)

***

Entry 3:
This entry pairs a crystal structure of Tm4IrRh with its computed X-ray diffraction stick pattern. Radiation: Cu Ka. Structure: a DFT-relaxed cell (GGA-PBE, Alexandria).
No peak broadening, texture or thermal motion is included.

Largest 6 diffraction maxima, most intense first, 2θ = 10–90°:
2θ/deg, I/Imax
29.6, 100
44.5, 54
50.6, 46
37.7, 45
32.5, 39
40.1, 24

Cell and atoms:
Cell: 6.753 6.755 6.753 Å, 90.00 90.02 90.00°
Sites, in units of the cell vectors:
Tm (0.167, 0.167, 0.167)
Tm (0.167, 0.333, 0.667)
Tm (0.332, 0.668, 0.168)
Tm (0.332, 0.832, 0.668)
Tm (0.668, 0.168, 0.332)
Tm (0.668, 0.332, 0.832)
Tm (0.833, 0.667, 0.333)
Tm (0.833, 0.833, 0.833)
Ir (0.000, 0.000, 0.500)
Ir (0.000, 0.500, 0.000)
Rh (0.500, 0.000, 0.000)
Rh (0.500, 0.500, 0.500)

***

Entry 4:
This entry pairs a crystal structure of Li3Ac3Mg8 with its computed X-ray diffraction stick pattern. Radiation: Cu Ka. Structure: a DFT-relaxed cell (GGA-PBE, Alexandria).
No peak broadening, texture or thermal motion is included.

Largest 6 diffraction maxima, most intense first, 2θ = 10–90°:
2θ/deg, I/Imax
18.8, 100
30.9, 90
31.7, 63
17.7, 63
30.3, 50
30.6, 38

Cell and atoms:
Cell: 9.261 9.261 9.261 Å, 146.47 114.69 75.45°
Sites, in units of the cell vectors:
Li (0.000, 0.000, 0.000)
Li (0.149, 0.500, 0.649)
Li (0.851, 0.500, 0.351)
Ac (0.228, 0.728, 0.500)
Ac (0.500, 0.000, 0.500)
Ac (0.772, 0.272, 0.500)
Mg (0.058, 0.864, 0.194)
Mg (0.202, 0.354, 0.848)
Mg (0.330, 0.136, 0.194)
Mg (0.494, 0.646, 0.848)
Mg (0.506, 0.354, 0.152)
Mg (0.670, 0.864, 0.806)
Mg (0.798, 0.646, 0.152)
Mg (0.942, 0.136, 0.806)

***

Entry 5:
This entry pairs a crystal structure of RbBC4N4 with its computed X-ray diffraction stick pattern. Radiation: Cu Ka. Structure: a DFT-relaxed cell (GGA-PBE, Alexandria).
No peak broadening, texture or thermal motion is included.

Largest 6 diffraction maxima, most intense first, 2θ = 10–90°:
2θ/deg, I/Imax
20.9, 100
34.2, 37
28.0, 31
32.7, 30
13.5, 19
40.9, 18

Cell and atoms:
Cell: 9.142 9.142 9.142 Å, 133.01 133.01 68.65°
Sites, in units of the cell vectors:
Rb (0.375, 0.125, 0.250)
Rb (0.625, 0.875, 0.750)
B (0.125, 0.375, 0.750)
B (0.875, 0.625, 0.250)
C (0.084, 0.586, 0.301)
C (0.086, 0.285, 0.502)
C (0.215, 0.216, 0.801)
C (0.284, 0.584, 0.998)
C (0.716, 0.416, 0.002)
C (0.785, 0.784, 0.199)
C (0.914, 0.715, 0.498)
C (0.916, 0.414, 0.699)
N (0.054, 0.215, 0.316)
N (0.239, 0.554, 0.339)
N (0.285, 0.101, 0.839)
N (0.399, 0.739, 0.184)
N (0.601, 0.261, 0.816)
N (0.715, 0.899, 0.161)
N (0.761, 0.446, 0.661)
N (0.946, 0.785, 0.684)

***

Entry 6:
This entry pairs a crystal structure of Pm2Ho6Th with its computed X-ray diffraction stick pattern. Radiation: Cu Ka. Structure: a DFT-relaxed cell (GGA-PBE, Alexandria).
No peak broadening, texture or thermal motion is included.

Largest 6 diffraction maxima, most intense first, 2θ = 10–90°:
2θ/deg, I/Imax
33.6, 100
32.0, 64
28.9, 46
30.5, 45
60.7, 40
51.2, 35

Cell and atoms:
Cell: 3.571 3.571 26.367 Å, 90.00 90.00 120.00°
Sites, in units of the cell vectors:
Pm (0.000, 0.000, 0.171)
Pm (0.000, 0.000, 0.829)
Ho (0.000, 0.000, 0.390)
Ho (0.000, 0.000, 0.610)
Ho (0.667, 0.333, 0.063)
Ho (0.667, 0.333, 0.284)
Ho (0.667, 0.333, 0.716)
Ho (0.667, 0.333, 0.937)
Th (0.667, 0.333, 0.500)